Record 1
Diffraction record for Ta7Fe6. The X-ray powder pattern is simulated, not measured: it uses the GGA-PBE geometry in the Materials Project and λ = 1.5418 Å (Cu Kα).
Peak positions follow from Bragg's law for the DFT cell and can differ from measured ones.

The 10 most intense peaks (2θ from 5° to 70°), sorted by position:
- 2θ 19.69, rel. 17.7, hkl 0 0 6
- 2θ 36.38, rel. 100.0, hkl 1 1 0
- 2θ 39.41, rel. 40.2, hkl 1 0 10
- 2θ 41.70, rel. 79.0, hkl 1 1 6
- 2θ 42.40, rel. 61.3, hkl 0 1 11
- 2θ 45.61, rel. 17.4, hkl 2 0 5
- 2θ 65.47, rel. 18.6, hkl 3 0 0
- 2θ 67.50, rel. 15.7, hkl 2 1 10
- 2θ 69.10, rel. 17.7, hkl 0 3 6
- 2θ 69.60, rel. 23.8, hkl 1 2 11

Atomic structure:
```
data_Ta7Fe6
_chemical_formula_sum 'Ta21 Fe18'
_space_group_name_H-M_alt 'R -3 m'
_space_group_IT_number 166
_space_group_name_Hall '-R 3 2"'
_cell_length_a 4.9387
_cell_length_b 4.9387
_cell_length_c 27.0535
_cell_angle_alpha 90.00
_cell_angle_beta 90.00
_cell_angle_gamma 120.00
loop_
_atom_site_label
_atom_site_type_symbol
_atom_site_fract_x
_atom_site_fract_y
_atom_site_fract_z
Ta1 Ta 0.0000 0.0000 0.0000
Ta2 Ta 0.0000 0.0000 0.1669
Ta3 Ta 0.0000 0.0000 0.3476
Ta4 Ta 0.0000 0.0000 0.4509
Fe1 Fe 0.0066 0.5033 0.4114
```

Record 2
Diffraction record for TaFe. The X-ray powder pattern is simulated, not measured: it uses the GGA-PBE geometry in the Materials Project and λ = 1.5418 Å (Cu Kα).
Peak positions follow from Bragg's law for the DFT cell and can differ from measured ones.

The 10 most intense peaks (2θ from 5° to 70°), sorted by position:
- 2θ 19.80, rel. 14.9, hkl 0 0 12
- 2θ 36.92, rel. 100.0, hkl 1 1 0
- 2θ 39.75, rel. 54.7, hkl 0 1 20
- 2θ 42.24, rel. 75.8, hkl 1 1 12
- 2θ 42.74, rel. 46.5, hkl 1 0 22
- 2θ 43.03, rel. 16.7, hkl 2 0 2
- 2θ 46.25, rel. 15.7, hkl 0 2 10
- 2θ 48.21, rel. 12.7, hkl 1 1 18
- 2θ 66.52, rel. 18.4, hkl 3 0 0
- 2θ 68.42, rel. 21.5, hkl 1 2 20

Atomic structure:
```
data_TaFe
_chemical_formula_sum 'Ta39 Fe39'
_space_group_name_H-M_alt 'R -3 m'
_space_group_IT_number 166
_space_group_name_Hall '-R 3 2"'
_cell_length_a 4.8692
_cell_length_b 4.8692
_cell_length_c 53.7986
_cell_angle_alpha 90.00
_cell_angle_beta 90.00
_cell_angle_gamma 120.00
loop_
_atom_site_label
_atom_site_type_symbol
_atom_site_fract_x
_atom_site_fract_y
_atom_site_fract_z
Ta1 Ta 0.0000 0.0000 0.0000
Ta2 Ta 0.0000 0.0000 0.0835
Ta3 Ta 0.0000 0.0000 0.1737
Ta4 Ta 0.0000 0.0000 0.2251
Ta5 Ta 0.0000 0.0000 0.2744
Ta6 Ta 0.0000 0.0000 0.3265
Ta7 Ta 0.0000 0.0000 0.4174
Fe1 Fe 0.0000 0.0000 0.5000
Fe2 Fe 0.0019 0.5010 0.7960
Fe3 Fe 0.0079 0.5039 0.2942
```

Record 3
Diffraction record for TaTiFe2. The X-ray powder pattern is simulated, not measured: it uses the GGA-PBE geometry in the Materials Project and λ = 1.5418 Å (Cu Kα).
Peak positions follow from Bragg's law for the DFT cell and can differ from measured ones.

The 8 most intense peaks (2θ from 5° to 70°), sorted by position:
- 2θ 25.59, rel. 36.3, hkl 1 1 1
- 2θ 29.63, rel. 12.8, hkl 2 0 0
- 2θ 42.41, rel. 100.0, hkl 2 2 0
- 2θ 50.19, rel. 18.9, hkl 3 1 1
- 2θ 52.59, rel. 3.7, hkl 2 2 2
- 2θ 61.52, rel. 15.9, hkl 4 0 0
- 2θ 67.75, rel. 8.0, hkl 3 3 1
- 2θ 69.76, rel. 5.1, hkl 4 2 0

Atomic structure:
```
data_TaTiFe2
_chemical_formula_sum 'Ta4 Ti4 Fe8'
_space_group_name_H-M_alt 'F m -3 m'
_space_group_IT_number 225
_space_group_name_Hall '-F 4 2 3'
_cell_length_a 6.029
_cell_length_b 6.029
_cell_length_c 6.029
_cell_angle_alpha 90.00
_cell_angle_beta 90.00
_cell_angle_gamma 90.00
loop_
_atom_site_label
_atom_site_type_symbol
_atom_site_fract_x
_atom_site_fract_y
_atom_site_fract_z
Ta1 Ta 0.000 0.000 0.000
Ti1 Ti 0.000 0.000 0.500
Fe1 Fe 0.250 0.250 0.250
```

Record 4
Diffraction record for TaTiFe4. The X-ray powder pattern is simulated, not measured: it uses the GGA-PBE geometry in the Materials Project and λ = 1.5418 Å (Cu Kα).
Peak positions follow from Bragg's law for the DFT cell and can differ from measured ones.

The 10 most intense peaks (2θ from 5° to 70°), sorted by position:
- 2θ 11.33, rel. 78.6, hkl 0 0 1
- 2θ 24.57, rel. 27.2, hkl 0 1 1
- 2θ 31.68, rel. 34.3, hkl 0 1 2
- 2θ 38.12, rel. 54.2, hkl 1 1 0
- 2θ 39.89, rel. 26.5, hkl 1 1 1
- 2θ 41.09, rel. 100.0, hkl 0 1 3
- 2θ 44.30, rel. 13.9, hkl 2 0 0
- 2θ 44.86, rel. 92.0, hkl 1 1 2
- 2θ 45.88, rel. 71.6, hkl 2 0 1
- 2θ 51.88, rel. 19.3, hkl 1 0 4

Atomic structure:
```
data_TaTiFe4
_chemical_formula_sum 'Ta2 Ti2 Fe8'
_space_group_name_H-M_alt 'P -3 m 1'
_space_group_IT_number 164
_space_group_name_Hall '-P 3 2"'
_cell_length_a 4.7219
_cell_length_b 4.7219
_cell_length_c 7.8120
_cell_angle_alpha 90.00
_cell_angle_beta 90.00
_cell_angle_gamma 120.00
loop_
_atom_site_label
_atom_site_type_symbol
_atom_site_fract_x
_atom_site_fract_y
_atom_site_fract_z
Ta1 Ta 0.3333 0.6667 0.4298
Ti1 Ti 0.3333 0.6667 0.0623
Fe1 Fe 0.0000 0.0000 0.0000
Fe2 Fe 0.0000 0.0000 0.5000
Fe3 Fe 0.1703 0.3406 0.7517
```